Starting from a crystal structure in the Materials Project, relaxed with GGA-PBE, the X-ray diffraction stick pattern of PuAl3 was calculated for Cu Kα (λ = 1.5418 Å).
Neutral-atom scattering factors, no anomalous dispersion.

Largest 10 diffraction maxima, sorted by position, 10° ≤ 2θ ≤ 90°:
17.23°, I = 57
23.58°, I = 100
26.70°, I = 91
29.18°, I = 89
37.67°, I = 35
37.86°, I = 70
39.97°, I = 68
48.35°, I = 46
50.25°, I = 31
73.51°, I = 31

Atomic structure:
a b c (Å): 7.9878 7.9878 7.9878
angles (deg): 45.05 45.05 45.05
Fractional positions:
Pu1 0.0000 0.0000 0.0000
Pu2 0.2191 0.2191 0.2191
Pu3 0.7809 0.7809 0.7809
Al1 0.0000 0.5000 0.5000
Al2 0.2467 0.7106 0.7106
Al3 0.2894 0.2894 0.7533
Al4 0.2894 0.7533 0.2894
Al5 0.5000 0.0000 0.5000
Al6 0.5000 0.5000 0.0000
Al7 0.7106 0.2467 0.7106
Al8 0.7106 0.7106 0.2467
Al9 0.7533 0.2894 0.2894